Structure and theoretical XRD peak list of Mg2V2CoO8 (a GGA+U-relaxed structure; Cu Kα, 1.54184 Å).

Structural model:
Cell: 6.1175 11.6123 8.4063 Å, 90.00 90.00 90.00°
Space group Cmce (No. 64)
Asymmetric unit:
Mg 0.2500 0.1348 0.2500 (multiplicity 8)
V 0.0000 0.1205 0.6202 (multiplicity 8)
Co 0.0000 0.0000 0.0000 (multiplicity 4)
O 0.0000 0.0031 0.2456 (multiplicity 8)
O 0.0000 0.2490 0.7271 (multiplicity 8)
O 0.2302 0.1168 0.5000 (multiplicity 16)

Peak list (10 most intense, 2θ from 10° to 90°, sorted by position)
- 5.806 Å, I 44, hkl 0 2 0
- 3.405 Å, I 28, hkl 0 2 2
- 3.320 Å, I 59, hkl 1 1 2
- 3.048 Å, I 100, hkl 1 3 1
- 2.577 Å, I 87, hkl 2 2 1
- 2.524 Å, I 36, hkl 0 2 3
- 2.488 Å, I 42, hkl 1 1 3
- 2.103 Å, I 76, hkl 2 4 0
- 1.605 Å, I 28, hkl 1 1 5
- 1.487 Å, I 74, hkl 2 4 4

Structure and theoretical XRD peak list of V3O5F (a GGA+U-relaxed structure; Cu Kα, 1.54184 Å).

Structural model:
Cell: 9.1650 6.3761 6.6056 Å, 90.00 90.00 90.00°
Space group Amm2 (No. 38)
Asymmetric unit:
V 0.0000 0.0000 0.0000 (multiplicity 2)
V 0.1563 0.0000 0.5021 (multiplicity 4)
V 0.3345 0.0000 0.0396 (multiplicity 4)
V 0.5000 0.0000 0.5011 (multiplicity 2)
O 0.0000 0.0000 0.3075 (multiplicity 2)
O 0.0000 0.0000 0.7043 (multiplicity 2)
O 0.1706 0.1999 0.0069 (multiplicity 8)
O 0.3313 0.0000 0.3103 (multiplicity 4)
O 0.5000 0.1932 0.0077 (multiplicity 4)
F 0.3317 0.0000 0.7111 (multiplicity 4)

Peak list (10 most intense, 2θ from 10° to 90°, sorted by position)
- 3.303 Å, I 93, hkl 0 0 2
- 3.188 Å, I 96, hkl 0 2 0
- 2.543 Å, I 100, hkl 3 1 1
- 2.243 Å, I 23, hkl 3 0 2
- 2.206 Å, I 20, hkl 3 2 0
- 1.720 Å, I 56, hkl 3 1 3
- 1.687 Å, I 56, hkl 3 3 1
- 1.594 Å, I 17, hkl 0 4 0
- 1.528 Å, I 19, hkl 6 0 0
- 1.367 Å, I 39, hkl 3 3 3

Structure and theoretical XRD peak list of LiMn2P2O8F2 (a GGA+U-relaxed structure; Cu Kα, 1.54184 Å).

Structural model:
Cell: 5.0714 12.8047 12.8363 Å, 60.31 89.89 89.89°
Space group P1 (No. 1)
Asymmetric unit:
Li 0.0000 0.0000 0.0000 (multiplicity 1)
Li 0.0120 0.0067 0.2615 (multiplicity 1)
Li 0.4986 0.1719 0.9159 (multiplicity 1)
Li 0.5139 0.4042 0.1676 (multiplicity 1)
Mn 0.0139 0.0204 0.7161 (multiplicity 1)
Mn 0.0213 0.7113 0.5254 (multiplicity 1)
Mn 0.4603 0.9309 0.1608 (multiplicity 1)
Mn 0.4789 0.6458 0.9563 (multiplicity 1)
Mn 0.5188 0.1424 0.4610 (multiplicity 1)
Mn 0.5192 0.4554 0.6496 (multiplicity 1)
Mn 0.9565 0.2261 0.0196 (multiplicity 1)
Mn 0.9725 0.5160 0.2222 (multiplicity 1)
P 0.0123 0.2571 0.7558 (multiplicity 1)
P 0.0157 0.2449 0.2701 (multiplicity 1)
P 0.4555 0.4114 0.9169 (multiplicity 1)
P 0.4669 0.4161 0.4106 (multiplicity 1)
P 0.5132 0.9214 0.9030 (multiplicity 1)
P 0.5163 0.8992 0.4263 (multiplicity 1)
P 0.9605 0.7483 0.2597 (multiplicity 1)
P 0.9755 0.7430 0.7709 (multiplicity 1)
O 0.0440 0.6658 0.2094 (multiplicity 1)
O 0.0628 0.8751 0.7116 (multiplicity 1)
O 0.0704 0.6933 0.3882 (multiplicity 1)
O 0.1067 0.8707 0.1764 (multiplicity 1)
O 0.1467 0.6611 0.8813 (multiplicity 1)
O 0.1620 0.3790 0.9311 (multiplicity 1)
O 0.1744 0.4273 0.3671 (multiplicity 1)
O 0.3062 0.2840 0.7615 (multiplicity 1)
O 0.3123 0.2489 0.2934 (multiplicity 1)
O 0.3460 0.0006 0.7926 (multiplicity 1)
O 0.3546 0.7872 0.5069 (multiplicity 1)
O 0.4102 0.9598 0.2944 (multiplicity 1)
O 0.4369 0.7876 0.9688 (multiplicity 1)
O 0.4539 0.9705 0.9908 (multiplicity 1)
O 0.4773 0.9905 0.4681 (multiplicity 1)
O 0.4937 0.4644 0.4968 (multiplicity 1)
O 0.5282 0.4855 0.9790 (multiplicity 1)
O 0.5476 0.4791 0.7863 (multiplicity 1)
O 0.5528 0.2834 0.4745 (multiplicity 1)
O 0.6060 0.2895 0.9894 (multiplicity 1)
O 0.6325 0.4936 0.2954 (multiplicity 1)
O 0.6682 0.7764 0.2469 (multiplicity 1)
O 0.6823 0.7290 0.8131 (multiplicity 1)
O 0.8150 0.9433 0.8719 (multiplicity 1)
O 0.8172 0.8659 0.4274 (multiplicity 1)
O 0.8546 0.3722 0.6831 (multiplicity 1)
O 0.8635 0.1625 0.3844 (multiplicity 1)
O 0.8981 0.3750 0.2050 (multiplicity 1)
O 0.9009 0.1854 0.8895 (multiplicity 1)
O 0.9604 0.1740 0.7030 (multiplicity 1)
O 0.9725 0.1910 0.1854 (multiplicity 1)
O 0.9918 0.6997 0.6796 (multiplicity 1)
F 0.2042 0.1014 0.5666 (multiplicity 1)
F 0.2084 0.5575 0.6080 (multiplicity 1)
F 0.2447 0.1127 0.0589 (multiplicity 1)
F 0.2764 0.5441 0.1181 (multiplicity 1)
F 0.7120 0.0468 0.6269 (multiplicity 1)
F 0.7200 0.6211 0.5593 (multiplicity 1)
F 0.7600 0.0388 0.1138 (multiplicity 1)
F 0.7725 0.6040 0.0652 (multiplicity 1)

Peak list (10 most intense, 2θ from 10° to 90°, sorted by position)
- 5.543 Å, I 35, hkl 0 2 2
- 4.207 Å, I 34, hkl 0 1 3
- 4.195 Å, I 37, hkl 0 3 1
- 3.984 Å, I 72, hkl 1 1 -1
- 3.749 Å, I 100, hkl 1 0 -2
- 3.238 Å, I 34, hkl 1 1 3
- 3.205 Å, I 45, hkl 0 2 4
- 2.784 Å, I 20, hkl 0 4 0
- 2.536 Å, I 22, hkl 2 0 0
- 1.876 Å, I 18, hkl 2 0 4

Structure and theoretical XRD peak list of Li3Fe2P2C2O14 (a GGA+U-relaxed structure; Cu Kα, 1.54184 Å).

Structural model:
Cell: 8.2582 8.2673 8.3921 Å, 93.79 92.72 103.08°
Space group P-1 (No. 2)
Asymmetric unit:
Li 0.1038 0.1375 0.2810 (multiplicity 2)
Li 0.2365 0.4969 0.1031 (multiplicity 2)
Li 0.2617 0.0068 0.8910 (multiplicity 2)
Fe 0.0268 0.2807 0.6746 (multiplicity 2)
Fe 0.4794 0.2256 0.3396 (multiplicity 2)
P 0.2319 0.9902 0.5772 (multiplicity 2)
P 0.2597 0.5094 0.4201 (multiplicity 2)
C 0.0181 0.7830 0.0383 (multiplicity 2)
C 0.4803 0.7291 0.9557 (multiplicity 2)
O 0.0450 0.8283 0.8983 (multiplicity 2)
O 0.0757 0.8466 0.5296 (multiplicity 2)
O 0.0943 0.3474 0.9298 (multiplicity 2)
O 0.1048 0.8676 0.1633 (multiplicity 2)
O 0.1397 0.5777 0.3087 (multiplicity 2)
O 0.1795 0.1173 0.6967 (multiplicity 2)
O 0.1843 0.4425 0.5725 (multiplicity 2)
O 0.2929 0.0675 0.4215 (multiplicity 2)
O 0.3046 0.3697 0.3067 (multiplicity 2)
O 0.3667 0.9293 0.6760 (multiplicity 2)
O 0.3939 0.6464 0.8293 (multiplicity 2)
O 0.3986 0.1483 0.0733 (multiplicity 2)
O 0.4169 0.6495 0.4699 (multiplicity 2)
O 0.4400 0.6857 0.0922 (multiplicity 2)

Peak list (10 most intense, 2θ from 10° to 90°, sorted by position)
- 8.356 Å, I 84, hkl 0 0 1
- 5.145 Å, I 19, hkl 1 -1 1
- 5.087 Å, I 18, hkl -1 1 1
- 4.553 Å, I 55, hkl 1 1 -1
- 4.197 Å, I 73, hkl 1 1 1
- 4.014 Å, I 16, hkl 2 0 0
- 3.392 Å, I 35, hkl 1 1 -2
- 3.235 Å, I 100, hkl 2 -2 0
- 2.558 Å, I 18, hkl 2 2 0
- 2.512 Å, I 20, hkl 2 2 -1

Structure and theoretical XRD peak list of Co7Sb2O12 (a GGA+U-relaxed structure; Cu Kα, 1.54184 Å).

Structural model:
Cell: 10.5929 6.0746 15.3458 Å, 90.00 90.23 90.00°
Space group C2/m (No. 12)
Asymmetric unit:
Co 0.0071 0.0000 0.1415 (multiplicity 4)
Co 0.0838 0.2501 0.6622 (multiplicity 8)
Co 0.1612 0.5000 0.2092 (multiplicity 4)
Co 0.1656 0.0000 0.3383 (multiplicity 4)
Co 0.1681 0.5000 0.4688 (multiplicity 4)
Co 0.2500 0.2500 0.0000 (multiplicity 4)
Sb 0.0000 0.0000 0.5000 (multiplicity 2)
Sb 0.0000 0.5000 0.0000 (multiplicity 2)
Sb 0.1722 0.5000 0.8276 (multiplicity 4)
O 0.0020 0.0000 0.2637 (multiplicity 4)
O 0.0174 0.5000 0.7553 (multiplicity 4)
O 0.0759 0.2301 0.4205 (multiplicity 8)
O 0.0838 0.2753 0.9183 (multiplicity 8)
O 0.1522 0.0000 0.5802 (multiplicity 4)
O 0.1591 0.5000 0.0696 (multiplicity 4)
O 0.1688 0.5000 0.5978 (multiplicity 4)
O 0.1851 0.0000 0.0834 (multiplicity 4)
O 0.2443 0.2645 0.7560 (multiplicity 8)

Peak list (10 most intense, 2θ from 10° to 90°, sorted by position)
- 4.981 Å, I 66, hkl 1 1 1
- 3.053 Å, I 28, hkl 3 1 0
- 2.654 Å, I 49, hkl 1 1 -5
- 2.625 Å, I 56, hkl 3 1 -3
- 2.615 Å, I 100, hkl 3 1 3
- 2.174 Å, I 62, hkl 4 0 4
- 1.674 Å, I 24, hkl 5 1 5
- 1.661 Å, I 27, hkl 3 3 -3
- 1.549 Å, I 34, hkl 2 2 8
- 1.526 Å, I 35, hkl 6 2 0

Structure and theoretical XRD peak list of NaFeO2 (a GGA+U-relaxed structure; Cu Kα, 1.54184 Å).

Structural model:
Cell: 2.9578 2.9578 10.6827 Å, 90.00 90.00 120.00°
Space group P6_3/mmc (No. 194)
Asymmetric unit:
Na 0.3333 0.6667 0.2500 (multiplicity 2)
Fe 0.0000 0.0000 0.0000 (multiplicity 2)
O 0.3333 0.6667 0.5960 (multiplicity 4)

Peak list (10 most intense, 2θ from 10° to 90°, sorted by position)
- 5.341 Å, I 81, hkl 0 0 2
- 2.671 Å, I 20, hkl 0 0 4
- 2.562 Å, I 14, hkl 1 0 0
- 2.310 Å, I 100, hkl 1 0 2
- 2.079 Å, I 38, hkl 1 0 3
- 1.849 Å, I 38, hkl 1 0 4
- 1.479 Å, I 31, hkl 1 1 0
- 1.462 Å, I 34, hkl 1 0 6
- 1.294 Å, I 12, hkl 1 1 4
- 1.245 Å, I 12, hkl 2 0 2

Structure and theoretical XRD peak list of CaUMo4O16 (a GGA+U-relaxed structure; Cu Kα, 1.54184 Å).

Structural model:
Cell: 8.3617 6.7483 14.2905 Å, 90.00 125.42 90.00°
Space group P2/c (No. 13)
Asymmetric unit:
Ca 0.0000 0.1998 0.2500 (multiplicity 2)
U 0.5000 0.1987 0.2500 (multiplicity 2)
Mo 0.1985 0.3306 0.9040 (multiplicity 4)
Mo 0.2989 0.3327 0.5931 (multiplicity 4)
O 0.0000 0.4342 0.7500 (multiplicity 2)
O 0.0948 0.3438 0.5975 (multiplicity 4)
O 0.1351 0.0800 0.8756 (multiplicity 4)
O 0.1857 0.3517 0.4372 (multiplicity 4)
O 0.2834 0.1989 0.2527 (multiplicity 4)
O 0.3153 0.3494 0.0679 (multiplicity 4)
O 0.3724 0.0777 0.6292 (multiplicity 4)
O 0.4067 0.3471 0.9034 (multiplicity 4)
O 0.5000 0.4425 0.7500 (multiplicity 2)

Peak list (10 most intense, 2θ from 10° to 90°, sorted by position)
- 6.792 Å, I 34, hkl 1 0 0
- 5.251 Å, I 18, hkl 1 1 -1
- 4.181 Å, I 79, hkl 2 0 -2
- 3.900 Å, I 19, hkl 1 1 -3
- 3.367 Å, I 100, hkl 0 1 3
- 3.241 Å, I 24, hkl 0 2 1
- 2.628 Å, I 31, hkl 2 1 1
- 2.614 Å, I 14, hkl 2 1 -5
- 2.559 Å, I 14, hkl 2 2 -3
- 1.780 Å, I 20, hkl 0 3 4

Structure and theoretical XRD peak list of LiMnP3O9 (a GGA+U-relaxed structure; Cu Kα, 1.54184 Å).

Structural model:
Cell: 9.5120 9.6073 9.8581 Å, 109.63 104.55 108.37°
Space group P-1 (No. 2)
Asymmetric unit:
Li 0.1483 0.3561 0.1666 (multiplicity 2)
Li 0.1549 0.5696 0.9979 (multiplicity 2)
Mn 0.2429 0.7350 0.7735 (multiplicity 2)
Mn 0.3965 0.1983 0.2895 (multiplicity 2)
P 0.0085 0.6489 0.3904 (multiplicity 2)
P 0.0656 0.8308 0.2018 (multiplicity 2)
P 0.1961 0.0775 0.9121 (multiplicity 2)
P 0.3117 0.4134 0.5819 (multiplicity 2)
P 0.4458 0.7102 0.3342 (multiplicity 2)
P 0.4978 0.8848 0.1435 (multiplicity 2)
O 0.0003 0.3280 0.9464 (multiplicity 2)
O 0.0593 0.5136 0.7548 (multiplicity 2)
O 0.0753 0.1098 0.7936 (multiplicity 2)
O 0.0921 0.7980 0.3542 (multiplicity 2)
O 0.1249 0.6752 0.5393 (multiplicity 2)
O 0.1390 0.3156 0.5799 (multiplicity 2)
O 0.1391 0.8964 0.8599 (multiplicity 2)
O 0.2174 0.9700 0.2375 (multiplicity 2)
O 0.2307 0.1880 0.0798 (multiplicity 2)
O 0.2893 0.5774 0.2018 (multiplicity 2)
O 0.3013 0.3578 0.4158 (multiplicity 2)
O 0.3452 0.7508 0.0060 (multiplicity 2)
O 0.3537 0.1507 0.8788 (multiplicity 2)
O 0.3787 0.5962 0.6861 (multiplicity 2)
O 0.4110 0.3440 0.6763 (multiplicity 2)
O 0.4564 0.7722 0.4982 (multiplicity 2)
O 0.4680 0.9389 0.8215 (multiplicity 2)
O 0.4956 0.1320 0.6997 (multiplicity 2)

Peak list (10 most intense, 2θ from 10° to 90°, sorted by position)
- 7.940 Å, I 68, hkl 0 1 -1
- 4.881 Å, I 74, hkl 0 1 1
- 4.512 Å, I 43, hkl 1 1 -2
- 4.400 Å, I 42, hkl -2 1 1
- 4.256 Å, I 42, hkl 0 0 2
- 4.067 Å, I 47, hkl 0 2 0
- 3.590 Å, I 80, hkl 2 1 -1
- 3.161 Å, I 49, hkl 0 1 -3
- 2.891 Å, I 100, hkl -3 2 1
- 2.787 Å, I 79, hkl 2 2 -2